The following is a simulated powder XRD pattern of TaCrW. It was derived from a crystal structure in Alexandria, relaxed with GGA-PBE, using Cu Kα.
Neutral-atom scattering factors, no anomalous dispersion.

Top 10 peaks for 2θ = 15–90°, by intensity:
40.65°, I 100; 40.06°, I 26; 41.56°, I 22; 73.18°, I 18; 35.45°, I 17; 59.10°, I 16; 75.22°, I 14; 27.36°, I 13; 88.02°, I 11; 73.36°, I 9

Atomic structure:
a = 6.8960 Å, b = 6.7061 Å, c = 2.7472 Å
α = 82.26°, β = 74.49°, γ = 23.25°
Fractional positions:
Ta (0.0000, 0.0000, 0.0000)
Cr (0.3365, 0.3365, 0.6635)
W (0.6805, 0.6805, 0.3195)

The following is a simulated powder XRD pattern of Ta5CrW4. It was derived from a crystal structure in Alexandria, relaxed with GGA-PBE, using Cu Kα.
Neutral-atom scattering factors, no anomalous dispersion.

Top 10 peaks for 2θ = 15–90°, by intensity:
39.59°, I 100; 71.83°, I 34; 57.23°, I 17; 85.27°, I 11; 35.72°, I 2; 32.43°, I 1; 28.26°, I 1; 29.89°, I 1; 66.50°, I 1; 16.53°, I 1

Atomic structure:
a = 3.2205 Å, b = 3.2205 Å, c = 16.0859 Å
α = 90.00°, β = 90.00°, γ = 90.00°
Fractional positions:
Ta (0.0000, 0.0000, 0.0000)
Ta (0.0000, 0.0000, 0.2031)
Ta (0.0000, 0.0000, 0.4056)
Ta (0.0000, 0.0000, 0.5944)
Ta (0.0000, 0.0000, 0.7969)
Cr (0.5000, 0.5000, 0.5000)
W (0.5000, 0.5000, 0.1016)
W (0.5000, 0.5000, 0.3044)
W (0.5000, 0.5000, 0.6956)
W (0.5000, 0.5000, 0.8984)

The following is a simulated powder XRD pattern of Cr5Tc. It was derived from a crystal structure in Alexandria, relaxed with GGA-PBE, using Cu Kα.
Neutral-atom scattering factors, no anomalous dispersion.

Top 10 peaks for 2θ = 15–90°, by intensity:
43.98°, I 100; 44.10°, I 20; 80.83°, I 17; 64.03°, I 12; 81.05°, I 11; 63.90°, I 6; 80.91°, I 6; 22.76°, I 3; 30.72°, I 3; 38.55°, I 2

Atomic structure:
a = 6.4953 Å, b = 6.4953 Å, c = 2.9136 Å
α = 90.00°, β = 90.00°, γ = 143.02°
Fractional positions:
Cr (0.0000, 0.0000, 0.0000)
Cr (0.1676, 0.8324, 0.5000)
Cr (0.3293, 0.6707, 0.0000)
Cr (0.6707, 0.3293, 0.0000)
Cr (0.8324, 0.1676, 0.5000)
Tc (0.5000, 0.5000, 0.5000)

The following is a simulated powder XRD pattern of Cr5Tc4. It was derived from a crystal structure in Alexandria, relaxed with GGA-PBE, using Cu Kα.
Neutral-atom scattering factors, no anomalous dispersion.

Top 10 peaks for 2θ = 15–90°, by intensity:
43.08°, I 100; 78.93°, I 19; 62.48°, I 10; 79.10°, I 10; 62.73°, I 5; 37.83°, I 5; 28.30°, I 5; 64.46°, I 3; 52.31°, I 2; 75.38°, I 1

Atomic structure:
a = 6.4780 Å, b = 6.4780 Å, c = 6.4780 Å
α = 93.00°, β = 93.00°, γ = 153.57°
Fractional positions:
Cr (0.0000, 0.0000, 0.0000)
Cr (0.3343, 0.3343, 0.6686)
Cr (0.3343, 0.6657, 0.0000)
Cr (0.6657, 0.3343, 0.0000)
Cr (0.6657, 0.6657, 0.3314)
Tc (0.0000, 0.3222, 0.3222)
Tc (0.0000, 0.6778, 0.6778)
Tc (0.3222, 0.0000, 0.3222)
Tc (0.6778, 0.0000, 0.6778)

The following is a simulated powder XRD pattern of Cr2Tc3. It was derived from a crystal structure in Alexandria, relaxed with GGA-PBE, using Cu Kα.
Neutral-atom scattering factors, no anomalous dispersion.

Top 10 peaks for 2θ = 15–90°, by intensity:
41.10°, I 100; 47.98°, I 62; 41.64°, I 32; 84.70°, I 22; 69.82°, I 19; 70.58°, I 18; 84.35°, I 11; 85.42°, I 11; 89.18°, I 10; 16.35°, I 9

Atomic structure:
a = 10.9563 Å, b = 10.9563 Å, c = 10.9563 Å
α = 14.12°, β = 14.12°, γ = 14.12°
Fractional positions:
Cr (0.1012, 0.1012, 0.1012)
Cr (0.8988, 0.8988, 0.8988)
Tc (0.2984, 0.2984, 0.2984)
Tc (0.5000, 0.5000, 0.5000)
Tc (0.7016, 0.7016, 0.7016)

The following is a simulated powder XRD pattern of CrTc. It was derived from a crystal structure in Alexandria, relaxed with GGA-PBE, using Cu Kα.
Neutral-atom scattering factors, no anomalous dispersion.

Top 10 peaks for 2θ = 15–90°, by intensity:
42.49°, I 100; 43.97°, I 72; 42.83°, I 35; 79.65°, I 17; 34.32°, I 12; 77.24°, I 12; 79.89°, I 10; 63.76°, I 10; 80.25°, I 10; 59.61°, I 10

Atomic structure:
a = 4.8645 Å, b = 4.8645 Å, c = 6.2040 Å
α = 109.08°, β = 109.08°, γ = 34.92°
Fractional positions:
Cr (0.0000, 0.0000, 0.0000)
Cr (0.3418, 0.3418, 0.1451)
Cr (0.6582, 0.6582, 0.8549)
Tc (0.0000, 0.0000, 0.5000)
Tc (0.3230, 0.3230, 0.6840)
Tc (0.6770, 0.6770, 0.3160)

The following is a simulated powder XRD pattern of CrTc. It was derived from a crystal structure in Alexandria, relaxed with GGA-PBE, using Cu Kα.
Neutral-atom scattering factors, no anomalous dispersion.

Top 10 peaks for 2θ = 15–90°, by intensity:
42.62°, I 100; 43.93°, I 53; 79.85°, I 29; 63.86°, I 21; 34.00°, I 17; 77.10°, I 14; 59.80°, I 7; 85.20°, I 5; 74.37°, I 4; 80.74°, I 3

Atomic structure:
a = 2.9149 Å, b = 2.9149 Å, c = 6.1864 Å
α = 90.00°, β = 90.00°, γ = 90.00°
Fractional positions:
Cr (0.2500, 0.2500, 0.1002)
Cr (0.7500, 0.7500, 0.8998)
Tc (0.2500, 0.2500, 0.6377)
Tc (0.7500, 0.7500, 0.3623)

The following is a simulated powder XRD pattern of V8Cr2Tc. It was derived from a crystal structure in Alexandria, relaxed with GGA-PBE, using Cu Kα.
Neutral-atom scattering factors, no anomalous dispersion.

Top 10 peaks for 2θ = 15–90°, by intensity:
42.84°, I 100; 44.59°, I 50; 21.87°, I 43; 34.49°, I 41; 46.32°, I 30; 38.40°, I 30; 45.70°, I 25; 37.96°, I 21; 66.26°, I 21; 53.88°, I 17

Atomic structure:
a = 5.7236 Å, b = 5.7236 Å, c = 5.0088 Å
α = 96.76°, β = 96.76°, γ = 90.49°
Fractional positions:
V (0.0840, 0.0840, 0.3512)
V (0.1050, 0.5872, 0.2771)
V (0.1980, 0.1980, 0.9577)
V (0.4128, 0.8950, 0.7229)
V (0.5872, 0.1050, 0.2771)
V (0.8020, 0.8020, 0.0423)
V (0.8950, 0.4128, 0.7229)
V (0.9160, 0.9160, 0.6488)
Cr (0.3619, 0.3619, 0.5378)
Cr (0.6381, 0.6381, 0.4622)
Tc (0.5000, 0.5000, 0.0000)

Q: Which formula does entry 4 have?
A: Cr5Tc4